[1]
Computed XRD peak list
Compound: TbP2PbO8
Radiation: Cu Kα (weighted mean of Kα1 and Kα2)
Structure: a crystal structure in Alexandria, relaxed with PBE

Atomic structure:
Cell: 5.4316 5.4316 7.4128 Å, 90.00 90.00 120.00°
Space group P-3 (No. 147)
Symmetry-distinct sites (fractional):
1 Tb 0.0000 0.0000 0.0000 x1
2 P 0.3333 0.6667 0.2734 x2
3 Pb 0.0000 0.0000 0.5000 x1
4 O 0.1759 0.3563 0.2035 x6
5 O 0.3333 0.6667 0.4821 x2

Principal peaks in the range 5° ≤ 2θ ≤ 70°, most intense first:
- 18.87°, 4.704 Å, I 100, (1 0 0)
- 30.71°, 2.911 Å, I 82, (1 0 2)
- 32.98°, 2.716 Å, I 46, (1 1 0)
- 41.21°, 2.191 Å, I 38, (2 -1 2)
- 45.69°, 1.986 Å, I 36, (0 2 2)
- 57.49°, 1.603 Å, I 27, (2 1 2)
- 51.39°, 1.778 Å, I 18, (1 2 0)
- 60.48°, 1.531 Å, I 16, (1 1 4)

[2]
Computed XRD peak list
Compound: BeS5I
Radiation: Cu Kα (weighted mean of Kα1 and Kα2)
Structure: a crystal structure in Alexandria, relaxed with PBE

Atomic structure:
Cell: 5.0324 23.6828 4.1867 Å, 90.00 118.31 90.00°
Space group C2 (No. 5)
Symmetry-distinct sites (fractional):
1 Be 0.0000 0.0000 0.0000 x2
2 S 0.0000 0.2265 0.0000 x2
3 S 0.1367 0.5603 0.7713 x4
4 S 0.1654 0.2827 0.7635 x4
5 I 0.0000 0.9430 0.5000 x2

Principal peaks in the range 5° ≤ 2θ ≤ 70°, most intense first:
- 23.02°, 3.864 Å, I 100, (1 3 0)
- 7.47°, 11.841 Å, I 67, (0 2 0)
- 25.59°, 3.481 Å, I 55, (1 3 -1)
- 25.31°, 3.519 Å, I 39, (0 2 1)
- 29.77°, 3.001 Å, I 37, (1 5 -1)
- 14.96°, 5.921 Å, I 35, (0 4 0)
- 22.53°, 3.947 Å, I 34, (0 6 0)
- 33.29°, 2.692 Å, I 29, (0 6 1)

[3]
Computed XRD peak list
Compound: Tl4In5Bi6
Radiation: Cu Kα (weighted mean of Kα1 and Kα2)
Structure: a crystal structure in Alexandria, relaxed with PBE

Atomic structure:
Cell: 5.2627 22.3144 17.1467 Å, 90.00 90.00 90.00°
Space group Cmc2_1 (No. 36)
Symmetry-distinct sites (fractional):
1 Tl 0.0000 0.0453 0.0000 x4
2 Tl 0.0000 0.0491 0.2936 x4
3 Tl 0.0000 0.1375 0.7957 x4
4 Tl 0.0000 0.1730 0.4481 x4
5 In 0.0000 0.1706 0.1386 x4
6 In 0.0000 0.3244 0.1179 x4
7 In 0.0000 0.3254 0.7999 x4
8 In 0.0000 0.3422 0.4774 x4
9 In 0.0000 0.4630 0.1822 x4
10 Bi 0.0000 0.0845 0.6038 x4
11 Bi 0.0000 0.2303 0.9752 x4
12 Bi 0.0000 0.2547 0.2809 x4
13 Bi 0.0000 0.4029 0.6459 x4
14 Bi 0.0000 0.4191 0.9405 x4
15 Bi 0.0000 0.4540 0.3630 x4

Principal peaks in the range 5° ≤ 2θ ≤ 70°, most intense first:
- 30.57°, 2.924 Å, I 100, (1 5 3)
- 34.07°, 2.631 Å, I 48, (2 0 0)
- 27.14°, 3.286 Å, I 31, (1 1 4)
- 31.30°, 2.857 Å, I 24, (0 0 6)
- 36.51°, 2.461 Å, I 22, (1 7 3)
- 26.70°, 3.339 Å, I 20, (1 5 1)
- 58.82°, 1.570 Å, I 16, (3 5 3)
- 33.62°, 2.666 Å, I 15, (1 5 4)

[4]
Computed XRD peak list
Compound: Mg6In3Rh
Radiation: Cu Kα (weighted mean of Kα1 and Kα2)
Structure: a crystal structure in Alexandria, relaxed with PBE

Atomic structure:
Cell: 8.6396 11.2475 4.6090 Å, 90.00 90.00 90.00°
Space group Pnnm (No. 58)
Symmetry-distinct sites (fractional):
1 Mg 0.0128 0.2340 0.0000 x4
2 Mg 0.1476 0.0560 0.5000 x4
3 Mg 0.2118 0.3860 0.5000 x4
4 In 0.0000 0.5000 0.0000 x2
5 In 0.1648 0.6652 0.5000 x4
6 Rh 0.0000 0.0000 0.0000 x2

Principal peaks in the range 5° ≤ 2θ ≤ 70°, most intense first:
- 36.80°, 2.442 Å, I 100, (3 0 1)
- 38.94°, 2.313 Å, I 57, (1 4 1)
- 27.06°, 3.295 Å, I 55, (1 2 1)
- 30.74°, 2.908 Å, I 46, (0 3 1)
- 39.09°, 2.304 Å, I 45, (0 0 2)
- 18.83°, 4.713 Å, I 37, (1 2 0)
- 38.19°, 2.357 Å, I 36, (2 4 0)
- 32.55°, 2.750 Å, I 33, (2 2 1)

[5]
Computed XRD peak list
Compound: ScAl2Pd3
Radiation: Cu Kα (weighted mean of Kα1 and Kα2)
Structure: a crystal structure in Alexandria, relaxed with PBE

Atomic structure:
Cell: 3.0891 3.0891 9.8647 Å, 90.00 90.00 90.00°
Space group P4/mmm (No. 123)
Symmetry-distinct sites (fractional):
1 Sc 0.0000 0.0000 0.0000 x1
2 Al 0.0000 0.0000 0.3433 x2
3 Pd 0.5000 0.5000 0.1958 x2
4 Pd 0.5000 0.5000 0.5000 x1

Principal peaks in the range 5° ≤ 2θ ≤ 70°, most intense first:
- 40.05°, 2.251 Å, I 100, (1 0 3)
- 41.33°, 2.184 Å, I 54, (1 1 0)
- 28.90°, 3.089 Å, I 41, (1 0 0)
- 27.12°, 3.288 Å, I 18, (0 0 3)
- 59.88°, 1.545 Å, I 17, (2 0 0)
- 50.14°, 1.819 Å, I 13, (1 1 3)
- 47.16°, 1.927 Å, I 9, (1 0 4)
- 34.25°, 2.618 Å, I 7, (1 0 2)

[6]
Computed XRD peak list
Compound: Ac2PdPb
Radiation: Cu Kα (weighted mean of Kα1 and Kα2)
Structure: a crystal structure in Alexandria, relaxed with PBE

Atomic structure:
Cell: 3.8788 3.8788 8.3995 Å, 90.00 90.00 90.00°
Space group P4/mmm (No. 123)
Symmetry-distinct sites (fractional):
1 Ac 0.0000 0.0000 0.2179 x2
2 Pd 0.5000 0.5000 0.0000 x1
3 Pb 0.5000 0.5000 0.5000 x1

Principal peaks in the range 5° ≤ 2θ ≤ 70°, most intense first:
- 31.39°, 2.849 Å, I 100, (1 0 2)
- 32.65°, 2.743 Å, I 50, (1 1 0)
- 57.48°, 1.603 Å, I 37, (2 1 2)
- 46.84°, 1.939 Å, I 19, (2 0 0)
- 55.08°, 1.667 Å, I 16, (1 1 4)
- 25.29°, 3.521 Å, I 11, (1 0 1)
- 65.52°, 1.425 Å, I 9, (2 0 4)
- 46.34°, 1.959 Å, I 8, (1 1 3)

[7]
Computed XRD peak list
Compound: LiAgI2
Radiation: Cu Kα (weighted mean of Kα1 and Kα2)
Structure: a crystal structure in Alexandria, relaxed with PBE

Atomic structure:
Cell: 4.3266 4.3266 20.9934 Å, 90.00 90.00 120.00°
Space group R-3m (No. 166, hexagonal axes)
Symmetry-distinct sites (fractional):
1 Li 0.0000 0.0000 0.0000 x3
2 Ag 0.0000 0.0000 0.5000 x3
3 I 0.0000 0.0000 0.2520 x6

Principal peaks in the range 5° ≤ 2θ ≤ 70°, most intense first:
- 29.29°, 3.050 Å, I 100, (1 0 4)
- 41.75°, 2.163 Å, I 38, (1 1 0)
- 42.04°, 2.149 Å, I 37, (0 1 8)
- 51.82°, 1.764 Å, I 20, (0 2 4)
- 25.24°, 3.529 Å, I 19, (0 1 2)
- 68.64°, 1.367 Å, I 17, (2 1 4)
- 12.65°, 6.998 Å, I 17, (0 0 3)
- 69.04°, 1.360 Å, I 16, (1 1 12)

[8]
Computed XRD peak list
Compound: La2PmNi2
Radiation: Cu Kα (weighted mean of Kα1 and Kα2)
Structure: a crystal structure in Alexandria, relaxed with PBE

Atomic structure:
Cell: 4.4914 14.4024 3.9394 Å, 90.00 90.00 90.00°
Space group Cmmm (No. 65)
Symmetry-distinct sites (fractional):
1 La 0.0000 0.1494 0.0000 x4
2 Pm 0.0000 0.5000 0.5000 x2
3 Ni 0.0000 0.2984 0.5000 x4

Principal peaks in the range 5° ≤ 2θ ≤ 70°, most intense first:
- 30.82°, 2.901 Å, I 100, (1 1 1)
- 33.72°, 2.658 Å, I 56, (0 4 1)
- 27.19°, 3.280 Å, I 52, (1 3 0)
- 54.31°, 1.689 Å, I 31, (1 3 2)
- 40.15°, 2.246 Å, I 31, (2 0 0)
- 53.41°, 1.715 Å, I 30, (2 4 1)
- 35.62°, 2.521 Å, I 26, (1 3 1)
- 43.84°, 2.065 Å, I 23, (1 5 1)

[9]
Computed XRD peak list
Compound: Pr2Cd17
Radiation: Cu Kα (weighted mean of Kα1 and Kα2)
Structure: a crystal structure in Alexandria, relaxed with PBE

Atomic structure:
Cell: 10.1135 10.1135 14.9872 Å, 90.00 90.00 120.00°
Space group R-3m (No. 166, hexagonal axes)
Symmetry-distinct sites (fractional):
1 Pr 0.0000 0.0000 0.1689 x6
2 Cd 0.0000 0.0000 0.3991 x6
3 Cd 0.0000 0.2997 0.5000 x18
4 Cd 0.0000 0.5000 0.0000 x9
5 Cd 0.0139 0.5070 0.6479 x18

Principal peaks in the range 5° ≤ 2θ ≤ 70°, most intense first:
- 35.62°, 2.521 Å, I 100, (0 3 3)
- 39.97°, 2.256 Å, I 63, (2 2 3)
- 35.51°, 2.528 Å, I 58, (2 2 0)
- 35.95°, 2.498 Å, I 34, (0 0 6)
- 30.62°, 2.920 Å, I 34, (3 0 0)
- 36.32°, 2.474 Å, I 31, (2 0 5)
- 31.42°, 2.847 Å, I 25, (0 2 4)
- 63.76°, 1.460 Å, I 23, (6 0 0)

[10]
Computed XRD peak list
Compound: SrMg6Ag2
Radiation: Cu Kα (weighted mean of Kα1 and Kα2)
Structure: a crystal structure in Alexandria, relaxed with PBE

Atomic structure:
Cell: 4.4836 4.4836 10.8860 Å, 90.00 90.00 90.00°
Space group P4/mmm (No. 123)
Symmetry-distinct sites (fractional):
1 Sr 0.0000 0.0000 0.0000 x1
2 Mg 0.0000 0.0000 0.5000 x1
3 Mg 0.0000 0.5000 0.2865 x4
4 Mg 0.5000 0.5000 0.5000 x1
5 Ag 0.5000 0.5000 0.1300 x2

Principal peaks in the range 5° ≤ 2θ ≤ 70°, most intense first:
- 8.12°, 10.886 Å, I 100, (0 0 1)
- 31.72°, 2.821 Å, I 46, (1 0 3)
- 40.23°, 2.242 Å, I 38, (2 0 0)
- 29.34°, 3.044 Å, I 38, (1 1 1)
- 38.70°, 2.326 Å, I 38, (1 0 4)
- 28.15°, 3.170 Å, I 32, (1 1 0)
- 32.69°, 2.740 Å, I 30, (1 1 2)
- 57.05°, 1.614 Å, I 23, (2 1 4)

[11]
Computed XRD peak list
Compound: Sr3Ac3ErS8
Radiation: Cu Kα (weighted mean of Kα1 and Kα2)
Structure: a crystal structure in Alexandria, relaxed with PBE

Atomic structure:
Cell: 8.5029 8.5029 20.9567 Å, 90.00 90.00 120.00°
Space group R-3m (No. 166, hexagonal axes)
Symmetry-distinct sites (fractional):
1 Sr 0.0000 0.5000 0.0000 x9
2 Ac 0.0000 0.5000 0.5000 x9
3 Er 0.0000 0.0000 0.5000 x3
4 S 0.0000 0.0000 0.2515 x6
5 S 0.0260 0.5130 0.2431 x18

Principal peaks in the range 5° ≤ 2θ ≤ 70°, most intense first:
- 29.66°, 3.012 Å, I 100, (0 2 4)
- 25.65°, 3.474 Å, I 52, (2 0 2)
- 12.67°, 6.984 Å, I 45, (0 0 3)
- 42.34°, 2.134 Å, I 37, (2 0 8)
- 42.53°, 2.126 Å, I 37, (2 2 0)
- 50.27°, 1.815 Å, I 29, (2 2 6)
- 24.55°, 3.626 Å, I 26, (0 2 1)
- 52.70°, 1.737 Å, I 19, (4 0 4)

[12]
Computed XRD peak list
Compound: TlIn3Sb3
Radiation: Cu Kα (weighted mean of Kα1 and Kα2)
Structure: a crystal structure in Alexandria, relaxed with PBE

Atomic structure:
Cell: 8.1611 8.1611 8.1611 Å, 90.00 90.00 90.00°
Space group Pm-3n (No. 223)
Symmetry-distinct sites (fractional):
1 Tl 0.0000 0.0000 0.0000 x2
2 In 0.0000 0.2500 0.5000 x6
3 Sb 0.0000 0.5000 0.2500 x6

Principal peaks in the range 5° ≤ 2θ ≤ 70°, most intense first:
- 26.76°, 3.332 Å, I 100, (2 1 1)
- 41.40°, 2.181 Å, I 62, (3 2 1)
- 21.78°, 4.081 Å, I 41, (2 0 0)
- 44.40°, 2.040 Å, I 28, (4 0 0)
- 62.32°, 1.490 Å, I 19, (5 2 1)
- 49.98°, 1.825 Å, I 18, (4 2 0)
- 38.20°, 2.356 Å, I 18, (2 2 2)
- 64.60°, 1.443 Å, I 18, (4 4 0)